Computed XRD peak list of CsTl6Pd3 for Cu Kα, 1.54184 Å, from a crystal structure in Alexandria, relaxed with PBE.
No peak broadening, texture or thermal motion is included.

Atomic structure:
Lattice parameters (Å, degrees): 7.0703 7.0798 7.5651 114.42 94.02 118.85
Atoms (fractional coordinates):
Cs1 0.0000 0.0000 0.0000
Tl1 0.1080 0.6465 0.2195
Tl2 0.3587 0.2456 0.6030
Tl3 0.3931 0.7944 0.7006
Tl4 0.5718 0.1089 0.2186
Tl5 0.6521 0.7034 0.3560
Tl6 0.9060 0.3063 0.7012
Pd1 0.3901 0.5936 0.9852
Pd2 0.6251 0.3407 0.9675
Pd3 0.9254 0.5857 0.5142

The 6 most intense peaks (10° ≤ 2θ ≤ 80°), in order of falling intensity:
2θ (°)  d_spacing  I_rel
29.02  3.077  100
37.34  2.409  56
29.67  3.011  33
37.88  2.375  28
36.02  2.493  25
30.14  2.965  25